# 1
Starting from the GGA-PBE geometry in the Materials Project, the X-ray powder pattern of Nd2Sn4Ru was computed for Cu Kα (weighted mean of Kα1 and Kα2).

Top 12 peaks for 5 to 70 degrees two-theta, sorted by position:
d (Å), 2theta, intensity, (hkl)
2.857, 31.31, 100, 1 1 3
2.781, 32.18, 15, 0 0 6
2.725, 32.87, 12, 0 1 5
2.393, 37.58, 13, 1 0 6
2.359, 38.15, 39, 0 2 0
2.349, 38.31, 25, 2 0 0
1.800, 50.73, 9, 0 2 6
1.795, 50.88, 9, 2 0 6
1.665, 55.16, 18, 2 2 0
1.620, 56.83, 11, 1 1 9
1.441, 64.69, 13, 1 3 3
1.436, 64.93, 13, 3 1 3

Cell and atoms:
```
data_Nd2Sn4Ru
_chemical_formula_sum 'Nd4 Sn8 Ru2'
_cell_length_a 4.699
_cell_length_b 4.720
_cell_length_c 16.688
_cell_angle_alpha 90.00
_cell_angle_beta 90.00
_cell_angle_gamma 90.00
_symmetry_space_group_name_H-M 'A m m 2'
_symmetry_Int_Tables_number 38
_symmetry_space_group_name_Hall 'A 2 -2'
loop_
_atom_site_label
_atom_site_type_symbol
_atom_site_fract_x
_atom_site_fract_y
_atom_site_fract_z
Nd1 Nd 0.000 0.000 0.000
Nd2 Nd 0.500 0.000 0.201
Sn1 Sn 0.000 0.000 0.365
Sn2 Sn 0.000 0.000 0.644
Sn3 Sn 0.500 0.000 0.522
Sn4 Sn 0.500 0.000 0.860
Ru1 Ru 0.000 0.000 0.798
```

***

# 2
Starting from the GGA-PBE geometry in the Materials Project, the X-ray powder pattern of Na4Al3Si3NO12 was computed for Cu Kα (weighted mean of Kα1 and Kα2).

Top 12 peaks for 5 to 70 degrees two-theta, sorted by position:
d (Å), 2theta, intensity, (hkl)
6.306, 14.05, 72, 1 1 0
3.641, 24.45, 100, 2 1 1
2.820, 31.73, 24, 3 1 0
2.574, 34.85, 29, 2 2 2
2.383, 37.75, 21, 3 2 1
2.102, 43.03, 36, 3 3 0
1.820, 50.11, 7, 4 2 2
1.576, 58.55, 17, 4 4 0
1.529, 60.54, 13, 4 3 3
1.486, 62.49, 12, 6 0 0
1.447, 64.41, 10, 5 3 2
1.376, 68.15, 10, 5 4 1

Cell and atoms:
```
data_Na4Al3Si3NO12
_chemical_formula_sum 'Na8 Al6 Si6 N2 O24'
_cell_length_a 8.917
_cell_length_b 8.917
_cell_length_c 8.917
_cell_angle_alpha 90.00
_cell_angle_beta 90.00
_cell_angle_gamma 90.00
_symmetry_space_group_name_H-M 'P -4 3 n'
_symmetry_Int_Tables_number 218
_symmetry_space_group_name_Hall 'P -4n 2 3'
loop_
_atom_site_label
_atom_site_type_symbol
_atom_site_fract_x
_atom_site_fract_y
_atom_site_fract_z
Na1 Na 0.171 0.171 0.171
Al1 Al 0.000 0.250 0.500
Si1 Si 0.000 0.500 0.250
N1 N 0.000 0.000 0.000
O1 O 0.067 0.362 0.648
```

***

# 3
Starting from the GGA-PBE geometry in the Materials Project, the X-ray powder pattern of CaUTi2O7 was computed for Cu Kα (weighted mean of Kα1 and Kα2).

Top 12 peaks for 5 to 70 degrees two-theta, sorted by position:
d (Å), 2theta, intensity, (hkl)
5.858, 15.12, 100, 1 0 1
5.112, 17.35, 46, 0 0 2
3.651, 24.38, 21, 0 2 0
3.099, 28.81, 41, 1 2 1
2.971, 30.08, 94, 0 2 2
2.929, 30.52, 93, 2 0 2
2.555, 35.13, 51, 0 0 4
2.353, 38.26, 36, 1 2 3
2.285, 39.44, 23, 2 2 2
1.807, 50.52, 61, 2 2 4
1.550, 59.67, 30, 2 4 2
1.531, 60.46, 25, 4 2 2

Cell and atoms:
```
data_CaUTi2O7
_chemical_formula_sum 'Ca4 U4 Ti8 O28'
_cell_length_a 7.148
_cell_length_b 7.303
_cell_length_c 10.224
_cell_angle_alpha 90.00
_cell_angle_beta 90.00
_cell_angle_gamma 90.00
_symmetry_space_group_name_H-M 'I m m a'
_symmetry_Int_Tables_number 74
_symmetry_space_group_name_Hall '-I 2b 2'
loop_
_atom_site_label
_atom_site_type_symbol
_atom_site_fract_x
_atom_site_fract_y
_atom_site_fract_z
Ca1 Ca 0.250 0.250 0.250
U1 U 0.000 0.000 0.000
Ti1 Ti 0.000 0.000 0.500
Ti2 Ti 0.250 0.250 0.750
O1 O 0.000 0.250 0.115
O2 O 0.000 0.250 0.428
O3 O 0.000 0.250 0.833
O4 O 0.210 0.051 0.622
```

***

# 4
Starting from the GGA-PBE geometry in the Materials Project, the X-ray powder pattern of K2Al2Si3H2O10 was computed for Cu Kα (weighted mean of Kα1 and Kα2).

Top 12 peaks for 5 to 70 degrees two-theta, sorted by position:
d (Å), 2theta, intensity, (hkl)
7.066, 12.53, 100, 2 2 0
4.997, 17.75, 6, 0 4 0
4.533, 19.58, 17, 3 1 1
3.533, 25.21, 6, 4 4 0
3.093, 28.86, 6, 2 0 2
3.032, 29.46, 64, 5 3 1
2.955, 30.24, 21, 2 2 2
2.592, 34.60, 14, 1 7 1
2.267, 39.77, 6, 2 6 2
2.188, 41.26, 5, 5 7 1
1.833, 49.75, 6, 3 5 3
1.714, 53.47, 7, 6 10 0

Cell and atoms:
```
data_K2Al2Si3H2O10
_chemical_formula_sum 'K16 Al16 Si24 H16 O80'
_cell_length_a 19.962
_cell_length_b 20.009
_cell_length_c 6.507
_cell_angle_alpha 90.00
_cell_angle_beta 90.00
_cell_angle_gamma 90.00
_symmetry_space_group_name_H-M 'F d d 2'
_symmetry_Int_Tables_number 43
_symmetry_space_group_name_Hall 'F 2 -2d'
loop_
_atom_site_label
_atom_site_type_symbol
_atom_site_fract_x
_atom_site_fract_y
_atom_site_fract_z
K1 K 0.105 0.354 0.000
Al1 Al 0.078 0.445 0.512
Si1 Si 0.000 0.000 0.623
Si2 Si 0.056 0.080 0.248
H1 H 0.018 0.233 0.595
O1 O 0.021 0.405 0.677
O2 O 0.048 0.451 0.257
O3 O 0.051 0.047 0.484
O4 O 0.094 0.028 0.094
O5 O 0.098 0.148 0.269
```

***

Q: Which formula does entry 2 have?
A: Na4Al3Si3NO12